(1)
Theoretical X-ray diffraction stick pattern
Compound: TbNdSn2Pd4
Radiation: Cu Kα (λ = 1.5418 Å)
Structure: a cell relaxed with GGA-PBE
Intensities are scaled so that the largest is 100.

Atomic structure:
```
data_TbNdSn2Pd4
_chemical_formula_sum 'Tb1 Nd1 Sn2 Pd4'
_symmetry_space_group_name_H-M 'P -6 m 2'
_symmetry_Int_Tables_number 187
_symmetry_space_group_name_Hall 'P -6 2'
_cell_length_a 4.6140
_cell_length_b 4.6140
_cell_length_c 9.1036
_cell_angle_alpha 90.00
_cell_angle_beta 90.00
_cell_angle_gamma 120.00
loop_
_atom_site_label
_atom_site_fract_x
_atom_site_fract_y
_atom_site_fract_z
_atom_site_occupancy
Tb1 0.0000 0.0000 0.0000 1
Nd1 0.3333 0.6667 0.5000 1
Sn1 0.6667 0.3333 0.2438 1
Pd1 0.0000 0.0000 0.3291 1
Pd2 0.3333 0.6667 0.1621 1
```

Largest 6 diffraction maxima, by intensity, 10 to 90 degrees two-theta:
| 2theta | intensity |
| --- | --- |
| 39.04 | 100 |
| 37.21 | 97 |
| 29.75 | 35 |
| 55.03 | 31 |
| 69.52 | 30 |
| 70.73 | 17 |

=====

(2)
Theoretical X-ray diffraction stick pattern
Compound: Nb2Mo4P3C3
Radiation: Cu Kα (λ = 1.5418 Å)
Structure: a cell relaxed with GGA-PBE
Intensities are scaled so that the largest is 100.

Atomic structure:
```
data_Nb2Mo4P3C3
_chemical_formula_sum 'Nb8 Mo16 P12 C12'
_symmetry_space_group_name_H-M 'C 1 2/c 1'
_symmetry_Int_Tables_number 15
_cell_length_a 9.6426
_cell_length_b 5.5655
_cell_length_c 12.1491
_cell_angle_alpha 90.00
_cell_angle_beta 105.46
_cell_angle_gamma 90.00
loop_
_symmetry_equiv_pos_as_xyz
'x,y,z'
'-x,-y,-z'
'-x,y,-z+1/2'
'x,-y,z+1/2'
'x+1/2,y+1/2,z'
'-x+1/2,-y+1/2,-z'
'-x+1/2,y+1/2,-z+1/2'
'x+1/2,-y+1/2,z+1/2'
loop_
_atom_site_label
_atom_site_fract_x
_atom_site_fract_y
_atom_site_fract_z
_atom_site_occupancy
Nb1 0.0516 0.0847 0.3966 1
Mo1 0.1163 0.4226 0.5929 1
Mo2 0.2162 0.4119 0.9059 1
P1 0.0000 0.4356 0.2500 1
P2 0.1758 0.0917 0.7505 1
C1 0.0810 0.2459 0.9996 1
C2 0.2500 0.2500 0.5000 1
```

Largest 6 diffraction maxima, by intensity, 10 to 90 degrees two-theta:
| 2theta | intensity |
| --- | --- |
| 39.78 | 100 |
| 32.16 | 26 |
| 57.34 | 25 |
| 33.08 | 23 |
| 72.05 | 16 |
| 15.13 | 12 |

=====

(3)
Theoretical X-ray diffraction stick pattern
Compound: NdGdInCo2
Radiation: Cu Kα (λ = 1.5418 Å)
Structure: a cell relaxed with GGA-PBE
Intensities are scaled so that the largest is 100.

Atomic structure:
```
data_NdGdInCo2
_chemical_formula_sum 'Nd2 Gd2 In2 Co4'
_symmetry_space_group_name_H-M 'A m m 2'
_symmetry_Int_Tables_number 38
_cell_length_a 4.0020
_cell_length_b 3.8522
_cell_length_c 14.0684
_cell_angle_alpha 90.00
_cell_angle_beta 90.00
_cell_angle_gamma 90.00
loop_
_symmetry_equiv_pos_as_xyz
'x,y,z'
'-x,-y,z'
'-x,y,z'
'x,-y,z'
'x,y+1/2,z+1/2'
'-x,-y+1/2,z+1/2'
'-x,y+1/2,z+1/2'
'x,-y+1/2,z+1/2'
loop_
_atom_site_label
_atom_site_fract_x
_atom_site_fract_y
_atom_site_fract_z
_atom_site_occupancy
Nd1 0.0000 0.0000 0.0000 1
Gd1 0.0000 0.0000 0.2756 1
In1 0.5000 0.0000 0.6408 1
Co1 0.5000 0.0000 0.4263 1
Co2 0.5000 0.0000 0.8421 1
```

Largest 6 diffraction maxima, by intensity, 10 to 90 degrees two-theta:
| 2theta | intensity |
| --- | --- |
| 32.89 | 100 |
| 33.93 | 83 |
| 30.02 | 43 |
| 59.38 | 32 |
| 39.67 | 31 |
| 37.66 | 31 |

=====

(4)
Theoretical X-ray diffraction stick pattern
Compound: LaAlCdNi
Radiation: Cu Kα (λ = 1.5418 Å)
Structure: a cell relaxed with GGA-PBE
Intensities are scaled so that the largest is 100.

Atomic structure:
```
data_LaAlCdNi
_chemical_formula_sum 'La4 Al4 Cd4 Ni4'
_symmetry_space_group_name_H-M 'C 1 2/m 1'
_symmetry_Int_Tables_number 12
_cell_length_a 9.9587
_cell_length_b 4.2432
_cell_length_c 7.7840
_cell_angle_alpha 90.00
_cell_angle_beta 90.44
_cell_angle_gamma 90.00
loop_
_symmetry_equiv_pos_as_xyz
'x,y,z'
'-x,-y,-z'
'-x,y,-z'
'x,-y,z'
'x+1/2,y+1/2,z'
'-x+1/2,-y+1/2,-z'
'-x+1/2,y+1/2,-z'
'x+1/2,-y+1/2,z'
loop_
_atom_site_label
_atom_site_fract_x
_atom_site_fract_y
_atom_site_fract_z
_atom_site_occupancy
La1 0.0565 0.0000 0.2617 1
Al1 0.1603 0.5000 0.5564 1
Cd1 0.1522 0.5000 0.9486 1
Ni1 0.2196 0.0000 0.7176 1
```

Largest 6 diffraction maxima, by intensity, 10 to 90 degrees two-theta:
| 2theta | intensity |
| --- | --- |
| 32.54 | 100 |
| 36.18 | 77 |
| 42.61 | 40 |
| 38.03 | 40 |
| 34.30 | 36 |
| 32.44 | 30 |

=====

Repeat the second record exactly.
Theoretical X-ray diffraction stick pattern
Compound: Nb2Mo4P3C3
Radiation: Cu Kα (λ = 1.5418 Å)
Structure: a cell relaxed with GGA-PBE
Intensities are scaled so that the largest is 100.

Atomic structure:
```
data_Nb2Mo4P3C3
_chemical_formula_sum 'Nb8 Mo16 P12 C12'
_symmetry_space_group_name_H-M 'C 1 2/c 1'
_symmetry_Int_Tables_number 15
_cell_length_a 9.6426
_cell_length_b 5.5655
_cell_length_c 12.1491
_cell_angle_alpha 90.00
_cell_angle_beta 105.46
_cell_angle_gamma 90.00
loop_
_symmetry_equiv_pos_as_xyz
'x,y,z'
'-x,-y,-z'
'-x,y,-z+1/2'
'x,-y,z+1/2'
'x+1/2,y+1/2,z'
'-x+1/2,-y+1/2,-z'
'-x+1/2,y+1/2,-z+1/2'
'x+1/2,-y+1/2,z+1/2'
loop_
_atom_site_label
_atom_site_fract_x
_atom_site_fract_y
_atom_site_fract_z
_atom_site_occupancy
Nb1 0.0516 0.0847 0.3966 1
Mo1 0.1163 0.4226 0.5929 1
Mo2 0.2162 0.4119 0.9059 1
P1 0.0000 0.4356 0.2500 1
P2 0.1758 0.0917 0.7505 1
C1 0.0810 0.2459 0.9996 1
C2 0.2500 0.2500 0.5000 1
```

Largest 6 diffraction maxima, by intensity, 10 to 90 degrees two-theta:
| 2theta | intensity |
| --- | --- |
| 39.78 | 100 |
| 32.16 | 26 |
| 57.34 | 25 |
| 33.08 | 23 |
| 72.05 | 16 |
| 15.13 | 12 |